Starting from a crystal structure in Alexandria, relaxed with GGA-PBE, the powder diffractogram of TmGaFe was calculated for a wavelength of 1.5418 Å.
Lines closer than 0.1° are merged.

Principal peaks in the range 2θ = 10–90°, in order of rising 2θ:
2θ/deg  I (rel.)
34.37  1000
39.55  758
40.37  512
40.84  342
41.10  234
72.44  334

Structural model:
```
6
Lattice="-2.607 2.703 3.632 2.607 -2.703 3.632 2.607 2.703 -3.632" Properties=species:S:1:pos:R:3 pbc="T T T"
Tm 0.000 1.351 0.830
Tm 2.607 1.351 2.802
Ga 2.607 0.000 0.000
Ga 0.000 0.000 3.632
Fe 1.304 1.351 -1.816
Fe 1.304 -1.351 1.816
```